# SrAgSb
Theoretical X-ray powder pattern, Cu Kα. Input: DFT lattice parameters and positions (GGA-PBE).
Lines closer than 0.1° are merged.

Structure:
```
data_SrAgSb
_space_group_name_H-M_alt 'P -4 3 m'
_space_group_IT_number 215
_space_group_name_Hall 'P -4 2 3'
_cell_length_a 7.0428
_cell_length_b 7.0428
_cell_length_c 7.0428
_cell_angle_alpha 90.00
_cell_angle_beta 90.00
_cell_angle_gamma 90.00
loop_
_atom_site_label
_atom_site_type_symbol
_atom_site_fract_x
_atom_site_fract_y
_atom_site_fract_z
Sr1 Sr 0.2212 0.2212 0.7788
Ag1 Ag 0.0000 0.5000 0.5000
Ag2 Ag 0.5000 0.5000 0.5000
Sb1 Sb 0.2599 0.2599 0.2599
```

Top 10 peaks for 10° ≤ 2θ ≤ 90°, low angle first:
d_spacing	two_theta	Rel. int.	index
7.043	12.57	15	1 0 0
4.066	21.86	12	1 1 1
3.521	25.29	11	2 0 0
3.150	28.34	16	2 1 0
2.490	36.07	100	2 2 0
2.348	38.34	7	3 0 0
1.761	51.93	16	4 0 0
1.438	64.86	29	4 2 2
1.245	76.52	8	4 4 0
1.114	87.62	11	6 2 0


# Tb4Ag5Sb7
Theoretical X-ray powder pattern, Cu Kα. Input: DFT lattice parameters and positions (GGA-PBE).
Lines closer than 0.1° are merged.

Structure:
```
data_Tb4Ag5Sb7
_space_group_name_H-M_alt 'I -4 2 m'
_space_group_IT_number 121
_space_group_name_Hall 'I -4 2'
_cell_length_a 6.0568
_cell_length_b 6.0568
_cell_length_c 21.2427
_cell_angle_alpha 90.00
_cell_angle_beta 90.00
_cell_angle_gamma 90.00
loop_
_atom_site_label
_atom_site_type_symbol
_atom_site_fract_x
_atom_site_fract_y
_atom_site_fract_z
Tb1 Tb 0.2415 0.2415 0.1183
Ag1 Ag 0.0000 0.0000 0.2476
Ag2 Ag 0.0000 0.0000 0.5000
Ag3 Ag 0.0000 0.5000 0.2500
Sb1 Sb 0.0000 0.0000 0.0000
Sb2 Sb 0.0000 0.5000 0.0000
Sb3 Sb 0.2421 0.2421 0.3433
```

Top 10 peaks for 10° ≤ 2θ ≤ 90°, low angle first:
d_spacing	two_theta	Rel. int.	index
3.334	26.74	11	1 1 4
2.655	33.76	17	0 0 8
2.631	34.08	100	2 0 4
2.257	39.95	9	1 1 8
2.141	42.20	32	2 2 0
1.667	55.10	16	2 2 8
1.528	60.59	6	2 0 12
1.514	61.21	10	4 0 0
1.315	71.76	7	4 0 8
1.312	71.95	21	4 2 4